Structure and calculated powder XRD pattern of Tb12PrSm7 (a cell relaxed with PBE; Cu Kα (weighted mean of Kα1 and Kα2)).

Main lines, sorted by position (2θ = 15–90°):
2θ/deg  I/Imax  hkl
23.72  10  2 -1 3
27.01  20  1 0 4
29.47  68  1 3 1
30.40  45  0 2 4
31.58  100  3 1 2
38.95  33  1 2 5
41.85  25  5 -1 3
47.04  13  1 5 2
50.91  15  2 5 0
54.94  15  2 5 3
58.66  14  3 3 6
59.92  11  6 2 1

Structure:
a b c (Å): 12.9344 12.9344 13.8165
angles (deg): 90.00 90.00 120.00
Space group R-3 (No. 148, hexagonal axes)
Asymmetric unit:
Tb 0.0027 0.5675 0.2483 x18
Tb 0.0678 0.8675 0.3467 x18
Pr 0.0000 0.0000 0.0000 x3
Sm 0.0000 0.0000 0.5000 x3
Sm 0.0676 0.2022 0.8476 x18